Eu3Sb5O12: theoretical X-ray powder pattern (Cu Kα, 1.54184 Å), based on a GGA-PBE-relaxed structure.

Peak list (12 most intense, 2θ from 5° to 70°, most intense first)
| 2θ (°) | d/Å | I (rel.) |
| --- | --- | --- |
| 27.98 | 3.189 | 100 |
| 46.50 | 1.953 | 44 |
| 55.14 | 1.666 | 40 |
| 32.41 | 2.762 | 35 |
| 11.33 | 7.812 | 11 |
| 57.82 | 1.595 | 9 |
| 67.87 | 1.381 | 6 |
| 30.27 | 2.953 | 3 |
| 61.70 | 1.503 | 3 |
| 38.21 | 2.355 | 3 |
| 53.77 | 1.705 | 3 |
| 66.66 | 1.403 | 2 |

Atomic structure:
Unit cell a=9.568 b=9.568 c=9.568 alpha=109.47 beta=109.47 gamma=109.47
Fractional coordinates of all 40 atoms:
Eu  0.250  0.500  0.750
Eu  0.250  0.750  0.500
Eu  0.500  0.250  0.750
Eu  0.500  0.750  0.250
Eu  0.750  0.250  0.500
Eu  0.750  0.500  0.250
Sb  0.000  0.000  0.497
Sb  0.000  0.277  0.277
Sb  0.000  0.497  0.000
Sb  0.000  0.723  0.723
Sb  0.277  0.000  0.277
Sb  0.277  0.277  0.000
Sb  0.497  0.000  0.000
Sb  0.503  0.503  0.503
Sb  0.723  0.000  0.723
Sb  0.723  0.723  0.000
O  0.000  0.283  0.487
O  0.000  0.487  0.283
O  0.000  0.530  0.802
O  0.000  0.802  0.530
O  0.198  0.198  0.727
O  0.198  0.727  0.198
O  0.204  0.717  0.717
O  0.273  0.470  0.470
O  0.283  0.000  0.487
O  0.283  0.487  0.000
O  0.470  0.273  0.470
O  0.470  0.470  0.273
O  0.487  0.000  0.283
O  0.487  0.283  0.000
O  0.513  0.513  0.796
O  0.513  0.796  0.513
O  0.530  0.000  0.802
O  0.530  0.802  0.000
O  0.717  0.204  0.717
O  0.717  0.717  0.204
O  0.727  0.198  0.198
O  0.796  0.513  0.513
O  0.802  0.000  0.530
O  0.802  0.530  0.000

***

Na2Li3GaO4: theoretical X-ray powder pattern (Cu Kα, 1.54184 Å), based on a GGA-PBE-relaxed structure.

Peak list (12 most intense, 2θ from 5° to 70°, most intense first)
| 2θ (°) | d/Å | I (rel.) |
| --- | --- | --- |
| 20.42 | 4.349 | 100 |
| 17.14 | 5.173 | 96 |
| 24.03 | 3.703 | 96 |
| 34.68 | 2.586 | 87 |
| 35.21 | 2.549 | 86 |
| 36.82 | 2.441 | 65 |
| 28.12 | 3.173 | 62 |
| 49.21 | 1.852 | 60 |
| 36.50 | 2.462 | 51 |
| 22.13 | 4.017 | 50 |
| 58.18 | 1.586 | 34 |
| 27.05 | 3.296 | 33 |

Atomic structure:
Unit cell a=8.035 b=8.344 c=6.592 alpha=90.00 beta=90.00 gamma=90.00
Fractional coordinates of all 40 atoms:
Na  0.000  0.000  0.242
Na  0.000  0.000  0.758
Na  0.241  0.245  0.500
Na  0.259  0.745  0.000
Na  0.500  0.500  0.258
Na  0.500  0.500  0.742
Na  0.741  0.255  0.000
Na  0.759  0.755  0.500
Li  0.015  0.648  0.255
Li  0.015  0.648  0.745
Li  0.235  0.582  0.500
Li  0.265  0.082  0.000
Li  0.485  0.148  0.245
Li  0.485  0.148  0.755
Li  0.515  0.852  0.245
Li  0.515  0.852  0.755
Li  0.735  0.918  0.000
Li  0.765  0.418  0.500
Li  0.985  0.352  0.255
Li  0.985  0.352  0.745
Ga  0.225  0.374  0.000
Ga  0.275  0.874  0.500
Ga  0.725  0.126  0.500
Ga  0.775  0.626  0.000
O  0.049  0.222  0.000
O  0.064  0.774  0.500
O  0.197  0.488  0.241
O  0.197  0.488  0.759
O  0.303  0.988  0.259
O  0.303  0.988  0.741
O  0.436  0.274  0.000
O  0.451  0.722  0.500
O  0.549  0.278  0.500
O  0.564  0.726  0.000
O  0.697  0.012  0.259
O  0.697  0.012  0.741
O  0.803  0.512  0.241
O  0.803  0.512  0.759
O  0.936  0.226  0.500
O  0.951  0.778  0.000

***

Er3Si2Ni6: theoretical X-ray powder pattern (Cu Kα, 1.54184 Å), based on a GGA-PBE-relaxed structure.

Peak list (12 most intense, 2θ from 5° to 70°, most intense first)
| 2θ (°) | d/Å | I (rel.) |
| --- | --- | --- |
| 44.03 | 2.057 | 100 |
| 32.45 | 2.759 | 42 |
| 38.61 | 2.332 | 34 |
| 35.65 | 2.519 | 33 |
| 41.39 | 2.181 | 26 |
| 25.00 | 3.562 | 22 |
| 66.00 | 1.415 | 22 |
| 28.94 | 3.085 | 17 |
| 57.89 | 1.593 | 16 |
| 62.02 | 1.496 | 14 |
| 64.03 | 1.454 | 11 |
| 59.98 | 1.542 | 8 |

Atomic structure:
Unit cell a=7.556 b=7.556 c=7.556 alpha=109.47 beta=109.47 gamma=109.47
Fractional coordinates of all 22 atoms:
Er  0.000  0.284  0.284
Er  0.000  0.716  0.716
Er  0.284  0.000  0.284
Er  0.284  0.284  0.000
Er  0.716  0.000  0.716
Er  0.716  0.716  0.000
Si  0.000  0.000  0.500
Si  0.000  0.500  0.000
Si  0.500  0.000  0.000
Si  0.500  0.500  0.500
Ni  0.000  0.331  0.669
Ni  0.000  0.669  0.331
Ni  0.331  0.000  0.669
Ni  0.331  0.331  0.662
Ni  0.331  0.662  0.331
Ni  0.331  0.669  0.000
Ni  0.338  0.669  0.669
Ni  0.662  0.331  0.331
Ni  0.669  0.000  0.331
Ni  0.669  0.331  0.000
Ni  0.669  0.338  0.669
Ni  0.669  0.669  0.338